Computed powder XRD pattern of FeH2Rh for λ = 1.5418 Å (Cu Kα), from a structure optimized by DFT (PBE).
Peak positions follow from Bragg's law for the DFT cell and can differ from measured ones.

Atomic structure:
Cell: 5.655 4.769 4.485 Å, 90.00 90.00 90.00°
Fractional positions:
Fe: 0.116 0.082 0.250
Fe: 0.116 0.418 0.750
Fe: 0.884 0.582 0.250
Fe: 0.884 0.918 0.750
H: 0.109 0.750 0.000
H: 0.109 0.750 0.500
H: 0.352 0.250 0.000
H: 0.352 0.250 0.500
H: 0.648 0.750 0.000
H: 0.648 0.750 0.500
H: 0.891 0.250 0.000
H: 0.891 0.250 0.500
Rh: 0.364 0.576 0.250
Rh: 0.364 0.924 0.750
Rh: 0.636 0.076 0.250
Rh: 0.636 0.424 0.750

Largest 10 diffraction maxima, by intensity, 2θ from 15° to 90°:
index, d [Å], 2θ (°), Rel. int.
2 1 1, 2.138, 42.27, 100.0
0 2 1, 2.105, 42.96, 42.7
0 0 2, 2.243, 40.21, 36.6
2 1 0, 2.432, 36.96, 19.5
2 1 3, 1.274, 74.50, 17.3
2 3 2, 1.179, 81.69, 16.8
2 3 0, 1.386, 67.61, 14.9
1 1 1, 2.829, 31.63, 14.5
0 2 0, 2.384, 37.73, 13.3
2 1 2, 1.649, 55.76, 12.6